Entry 1:
# Cu2SnCl8
Simulated XRD peak list, Cu Kα. Input: a PBE-relaxed structure.

Top 10 peaks for 10 to 80 degrees two-theta, most intense first:
15.29°, 5.795 Å, intensity 100
14.97°, 5.918 Å, intensity 78
26.48°, 3.367 Å, intensity 22
34.53°, 2.597 Å, intensity 16
24.47°, 3.638 Å, intensity 13
41.11°, 2.196 Å, intensity 12
18.52°, 4.791 Å, intensity 12
50.15°, 1.819 Å, intensity 11
28.81°, 3.098 Å, intensity 10
38.42°, 2.343 Å, intensity 10

Crystal structure
```
Cu2SnCl8
1.0
5.9257 -3.6381 0.0000
5.9257 3.6381 0.0000
-5.3117 0.0000 8.9873
Cu Sn Cl
2 1 8
Direct
0.2184 0.2184 0.3270
0.7816 0.7816 0.6730
0.0000 0.0000 0.0000
0.0081 0.0081 0.7651
0.0513 0.5961 0.8644
0.3875 0.3875 0.5394
0.4039 0.9487 0.1356
0.5961 0.0513 0.8644
0.6125 0.6125 0.4606
0.9487 0.4039 0.1356
0.9919 0.9919 0.2349
```

***

Entry 2:
# CuSn3Cl7
Simulated XRD peak list, Cu Kα. Input: a PBE-relaxed structure.

Top 10 peaks for 10 to 80 degrees two-theta, most intense first:
22.36°, 3.976 Å, intensity 100
32.67°, 2.741 Å, intensity 88
19.61°, 4.527 Å, intensity 85
21.64°, 4.107 Å, intensity 69
21.21°, 4.188 Å, intensity 45
36.46°, 2.465 Å, intensity 42
35.25°, 2.546 Å, intensity 42
14.11°, 6.278 Å, intensity 34
43.22°, 2.093 Å, intensity 33
44.20°, 2.049 Å, intensity 31

Crystal structure
```
CuSn3Cl7
1.0
5.1140 -6.8937 0.0000
5.1140 6.8937 0.0000
0.0000 0.0000 9.7339
Cu Sn Cl
2 6 14
Direct
0.1189 0.1189 0.0000
0.8811 0.8811 0.5000
0.0058 0.5906 0.7006
0.4094 0.9942 0.7994
0.4266 0.4266 0.5000
0.5734 0.5734 0.0000
0.5906 0.0058 0.2994
0.9942 0.4094 0.2006
0.0021 0.3007 0.9437
0.0752 0.9248 0.7500
0.1135 0.3557 0.5482
0.3007 0.0021 0.0563
0.3285 0.6715 0.7500
0.3557 0.1135 0.4518
0.3983 0.6017 0.2500
0.6017 0.3983 0.7500
0.6443 0.8865 0.9518
0.6715 0.3285 0.2500
0.6993 0.9979 0.5563
0.8865 0.6443 0.0482
0.9248 0.0752 0.2500
0.9979 0.6993 0.4437
```

***

Entry 3:
# CuSnCl4
Simulated XRD peak list, Cu Kα. Input: a PBE-relaxed structure.

Top 10 peaks for 10 to 80 degrees two-theta, most intense first:
12.62°, 7.012 Å, intensity 100
16.75°, 5.292 Å, intensity 73
36.57°, 2.457 Å, intensity 52
12.85°, 6.888 Å, intensity 50
16.58°, 5.347 Å, intensity 48
30.59°, 2.923 Å, intensity 40
42.82°, 2.112 Å, intensity 38
33.88°, 2.646 Å, intensity 37
21.50°, 4.133 Å, intensity 36
28.21°, 3.163 Å, intensity 36

Crystal structure
```
CuSnCl4
1.0
6.8881 0.0000 0.0000
0.0000 7.0121 0.0000
0.0000 0.0000 8.2655
Cu Sn Cl
2 2 8
Direct
0.0000 0.0000 0.0000
0.0000 0.5000 0.5000
0.0000 0.0000 0.5000
0.5000 0.0000 0.0000
0.2061 0.1592 0.8222
0.2061 0.8408 0.1778
0.2169 0.2765 0.3991
0.2169 0.7235 0.6009
0.7831 0.2765 0.6009
0.7831 0.7235 0.3991
0.7939 0.1592 0.1778
0.7939 0.8408 0.8222
```

***

Entry 4:
# Tl4Cu3SnCl12
Simulated XRD peak list, Cu Kα. Input: a PBE-relaxed structure.

Top 10 peaks for 10 to 80 degrees two-theta, most intense first:
25.19°, 3.536 Å, intensity 100
35.92°, 2.500 Å, intensity 51
44.38°, 2.041 Å, intensity 46
51.71°, 1.768 Å, intensity 35
30.98°, 2.887 Å, intensity 34
70.46°, 1.336 Å, intensity 24
58.36°, 1.581 Å, intensity 21
61.51°, 1.508 Å, intensity 13
64.56°, 1.443 Å, intensity 12
17.74°, 5.000 Å, intensity 11

Crystal structure
```
Tl4Cu3SnCl12
1.0
-5.0001 5.0001 5.0001
5.0001 -5.0001 5.0001
5.0001 5.0001 -5.0001
Tl Cu Sn Cl
4 3 1 12
Direct
0.0000 0.0000 0.5000
0.0000 0.5000 0.0000
0.5000 0.0000 0.0000
0.5000 0.5000 0.5000
0.0000 0.5000 0.5000
0.5000 0.0000 0.5000
0.5000 0.5000 0.0000
0.0000 0.0000 0.0000
0.0000 0.2505 0.2505
0.0000 0.7495 0.7495
0.2500 0.5000 0.7500
0.2500 0.7500 0.5000
0.2505 0.0000 0.2505
0.2505 0.2505 0.0000
0.5000 0.2500 0.7500
0.5000 0.7500 0.2500
0.7495 0.0000 0.7495
0.7495 0.7495 0.0000
0.7500 0.2500 0.5000
0.7500 0.5000 0.2500
```

***

Entry 5:
# Tl3Cu2SnCl9
Simulated XRD peak list, Cu Kα. Input: a PBE-relaxed structure.

Top 10 peaks for 10 to 80 degrees two-theta, most intense first:
25.04°, 3.556 Å, intensity 100
24.87°, 3.580 Å, intensity 97
35.59°, 2.523 Å, intensity 96
30.76°, 2.907 Å, intensity 48
44.01°, 2.058 Å, intensity 44
51.39°, 1.778 Å, intensity 34
17.58°, 5.046 Å, intensity 24
69.96°, 1.345 Å, intensity 24
44.11°, 2.053 Å, intensity 23
51.03°, 1.790 Å, intensity 23

Crystal structure
```
Tl3Cu2SnCl9
1.0
7.1125 0.0000 0.0000
-3.5563 6.1596 0.0000
0.0000 0.0000 8.7970
Tl Cu Sn Cl
3 2 1 9
Direct
0.0000 0.0000 0.0000
0.3333 0.6667 0.7102
0.6667 0.3333 0.2898
0.3333 0.6667 0.1530
0.6667 0.3333 0.8470
0.0000 0.0000 0.5000
0.0000 0.5000 0.0000
0.1704 0.3408 0.3273
0.1704 0.8296 0.3273
0.3408 0.1704 0.6727
0.5000 0.0000 0.0000
0.5000 0.5000 0.0000
0.6592 0.8296 0.3273
0.8296 0.1704 0.6727
0.8296 0.6592 0.6727
```

***

Entry 6:
# SrCu5Cl12
Simulated XRD peak list, Cu Kα. Input: a PBE-relaxed structure.

Top 10 peaks for 10 to 80 degrees two-theta, most intense first:
14.12°, 6.274 Å, intensity 100
30.24°, 2.955 Å, intensity 20
24.93°, 3.572 Å, intensity 15
32.87°, 2.725 Å, intensity 15
43.28°, 2.090 Å, intensity 13
43.12°, 2.098 Å, intensity 11
26.76°, 3.331 Å, intensity 10
54.88°, 1.673 Å, intensity 10
41.74°, 2.164 Å, intensity 10
29.43°, 3.035 Å, intensity 10

Crystal structure
```
SrCu5Cl12
1.0
5.8351 0.0000 0.0000
2.2893 6.3629 0.0000
0.1869 2.0763 12.5489
Sr Cu Cl
1 5 12
Direct
0.0000 0.0000 0.0000
0.0000 0.0000 0.5000
0.3170 0.3791 0.9890
0.3347 0.3322 0.5006
0.6653 0.6678 0.4994
0.6830 0.6209 0.0110
0.0422 0.5630 0.1089
0.0733 0.2174 0.6097
0.2610 0.1143 0.3909
0.3724 0.7178 0.8838
0.4050 0.5531 0.6084
0.4619 0.8407 0.1220
0.5381 0.1593 0.8780
0.5950 0.4469 0.3916
0.6276 0.2822 0.1162
0.7390 0.8857 0.6091
0.9267 0.7826 0.3903
0.9578 0.4370 0.8911
```

***

Entry 7:
# Sr2CuCl
Simulated XRD peak list, Cu Kα. Input: a PBE-relaxed structure.

Top 10 peaks for 10 to 80 degrees two-theta, most intense first:
28.61°, 3.120 Å, intensity 100
40.49°, 2.228 Å, intensity 76
28.04°, 3.183 Å, intensity 53
50.27°, 1.815 Å, intensity 20
50.37°, 1.811 Å, intensity 20
40.84°, 2.209 Å, intensity 19
40.96°, 2.203 Å, intensity 18
24.55°, 3.626 Å, intensity 18
65.89°, 1.418 Å, intensity 17
66.78°, 1.401 Å, intensity 16

Crystal structure
```
Sr2CuCl
1.0
4.4063 0.0000 0.0000
0.0000 6.3654 0.0000
-0.0003 0.0000 4.4190
Sr Cu Cl
2 1 1
Direct
0.0000 0.0000 0.0000
0.4985 0.5000 0.4994
0.5006 0.0000 0.5007
0.9988 0.5000 0.9991
```

***

Entry 8:
# SrCu2Cl
Simulated XRD peak list, Cu Kα. Input: a PBE-relaxed structure.

Top 10 peaks for 10 to 80 degrees two-theta, most intense first:
39.58°, 2.277 Å, intensity 100
12.58°, 7.039 Å, intensity 98
40.40°, 2.232 Å, intensity 85
25.31°, 3.519 Å, intensity 84
35.65°, 2.518 Å, intensity 77
35.35°, 2.539 Å, intensity 58
38.37°, 2.346 Å, intensity 46
27.68°, 3.223 Å, intensity 41
35.55°, 2.525 Å, intensity 37
50.05°, 1.822 Å, intensity 34

Crystal structure
```
SrCu2Cl
1.0
3.6469 0.0000 0.0000
0.0000 3.6258 0.0000
-1.5886 0.0000 7.0386
Sr Cu Cl
1 2 1
Direct
0.0000 0.0000 0.0000
0.3414 0.0000 0.6500
0.8385 0.5000 0.6455
0.5876 0.5000 0.1998
```